No. 1
For Nd3Zn4Ir4, DFT lattice parameters and positions (GGA-PBE) gives the theoretical powder X-ray diffraction pattern in this record (CuKα).
Kinematic intensities with the Lorentz-polarization factor, no thermal factor.

Lattice parameters (Å, degrees): 7.668 7.668 7.668 90.00 90.00 90.00
Space group I-43m (No. 217)
Symmetry-distinct sites (fractional):
Nd 0.000 0.000 0.500 [6 per cell]
Zn 0.121 0.121 0.879 [8 per cell]
Ir 0.198 0.198 0.198 [8 per cell]

Principal peaks in the range 5 to 70 degrees two-theta, sorted by position:
(2 1 1), 28.5 deg, I 40.7; (2 2 0), 33.0 deg, I 100.0; (3 1 0), 37.1 deg, I 41.1; (3 2 1), 44.2 deg, I 33.2; (4 1 1), 50.5 deg, I 47.8; (3 3 2), 56.3 deg, I 16.4; (4 2 2), 59.0 deg, I 18.4; (4 3 1), 61.7 deg, I 11.7; (5 2 1), 66.8 deg, I 8.1; (4 4 0), 69.3 deg, I 8.1

No. 2
For NdZn8Ir4, DFT lattice parameters and positions (GGA-PBE) gives the theoretical powder X-ray diffraction pattern in this record (CuKα).
Kinematic intensities with the Lorentz-polarization factor, no thermal factor.

Lattice parameters (Å, degrees): 8.664 8.664 5.616 90.00 90.00 90.00
Space group I4/mmm (No. 139)
Symmetry-distinct sites (fractional):
Nd 0.000 0.000 0.000 [2 per cell]
Zn 0.000 0.227 0.500 [8 per cell]
Zn 0.000 0.340 0.000 [8 per cell]
Ir 0.250 0.250 0.250 [8 per cell]

Principal peaks in the range 5 to 70 degrees two-theta, sorted by position:
(2 0 0), 20.5 deg, I 66.9; (2 2 0), 29.2 deg, I 26.0; (3 0 1), 34.9 deg, I 15.7; (2 0 2), 38.2 deg, I 100.0; (3 2 1), 40.8 deg, I 30.1; (4 0 0), 41.7 deg, I 59.4; (2 2 2), 43.7 deg, I 71.4; (4 2 0), 46.9 deg, I 35.0; (4 2 2), 57.8 deg, I 33.9; (4 4 0), 60.4 deg, I 12.5

No. 3
For Nd3Zn7Ir4, DFT lattice parameters and positions (GGA-PBE) gives the theoretical powder X-ray diffraction pattern in this record (CuKα).
Kinematic intensities with the Lorentz-polarization factor, no thermal factor.

Lattice parameters (Å, degrees): 15.704 4.254 9.673 90.00 125.28 90.00
Space group C2/m (No. 12)
Symmetry-distinct sites (fractional):
Nd 0.000 0.000 0.000 [2 per cell]
Nd 0.199 0.500 0.711 [4 per cell]
Zn 0.000 0.000 0.500 [2 per cell]
Zn 0.009 0.500 0.293 [4 per cell]
Zn 0.152 0.000 0.421 [4 per cell]
Zn 0.177 0.500 0.018 [4 per cell]
Ir 0.109 0.000 0.819 [4 per cell]
Ir 0.165 0.500 0.278 [4 per cell]

Principal peaks in the range 5 to 70 degrees two-theta, sorted by position:
(0 0 2), 22.5 deg, I 34.6; (1 1 1), 26.6 deg, I 23.7; (3 1 0), 29.6 deg, I 32.0; (1 1 2), 34.5 deg, I 41.0; (3 1 -3), 34.9 deg, I 65.5; (5 1 -2), 35.6 deg, I 100.0; (3 1 1), 36.0 deg, I 30.2; (5 1 0), 41.1 deg, I 35.4; (0 2 0), 42.5 deg, I 64.5; (3 1 -4), 43.4 deg, I 36.4

No. 4
For NdZn9Ir2, DFT lattice parameters and positions (GGA-PBE) gives the theoretical powder X-ray diffraction pattern in this record (CuKα).
Kinematic intensities with the Lorentz-polarization factor, no thermal factor.

Lattice parameters (Å, degrees): 10.573 10.573 6.974 90.00 90.00 90.00
Space group I4_1/amd (No. 141, origin choice 2)
Symmetry-distinct sites (fractional):
Nd 0.000 0.250 0.375 [4 per cell]
Zn 0.000 0.250 0.875 [4 per cell]
Zn 0.122 0.043 0.682 [32 per cell]
Ir 0.000 0.000 0.000 [8 per cell]

Principal peaks in the range 5 to 70 degrees two-theta, sorted by position:
(1 0 1), 15.2 deg, I 41.6; (2 1 1), 22.7 deg, I 61.0; (3 2 1), 33.1 deg, I 88.7; (4 0 0), 33.9 deg, I 41.1; (3 1 2), 37.3 deg, I 87.5; (4 2 0), 38.1 deg, I 66.6; (1 0 3), 39.7 deg, I 57.7; (2 1 3), 43.4 deg, I 39.7; (5 0 1), 44.8 deg, I 95.3; (4 2 2), 46.4 deg, I 100.0

No. 5
For NdZn4Ir2, DFT lattice parameters and positions (GGA-PBE) gives the theoretical powder X-ray diffraction pattern in this record (CuKα).
Kinematic intensities with the Lorentz-polarization factor, no thermal factor.

Lattice parameters (Å, degrees): 7.735 7.735 4.106 90.00 90.00 90.00
Space group P4_2/mnm (No. 136)
Symmetry-distinct sites (fractional):
Nd 0.000 0.000 0.000 [2 per cell]
Zn 0.091 0.346 0.500 [8 per cell]
Ir 0.215 0.785 0.500 [4 per cell]

Principal peaks in the range 5 to 70 degrees two-theta, sorted by position:
(2 0 0), 23.0 deg, I 24.8; (1 1 1), 27.2 deg, I 50.1; (2 2 0), 32.7 deg, I 49.3; (2 1 1), 33.9 deg, I 94.0; (2 2 1), 39.6 deg, I 34.5; (3 1 1), 43.0 deg, I 100.0; (0 0 2), 44.1 deg, I 42.1; (4 1 0), 48.5 deg, I 35.5; (4 1 2), 67.7 deg, I 25.9; (5 2 1), 69.3 deg, I 23.1

No. 6
For Nd2ZnIr3, DFT lattice parameters and positions (GGA-PBE) gives the theoretical powder X-ray diffraction pattern in this record (CuKα).
Kinematic intensities with the Lorentz-polarization factor, no thermal factor.

Lattice parameters (Å, degrees): 5.6005 5.6005 12.5629 90.00 90.00 120.00
Space group R-3m (No. 166, hexagonal axes)
Symmetry-distinct sites (fractional):
Nd 0.0000 0.0000 0.1260 [6 per cell]
Zn 0.0000 0.0000 0.5000 [3 per cell]
Ir 0.0000 0.5000 0.0000 [9 per cell]

Principal peaks in the range 5 to 70 degrees two-theta, sorted by position:
(0 0 3), 21.2 deg, I 23.7; (1 0 4), 34.0 deg, I 44.9; (0 2 1), 37.8 deg, I 100.0; (1 1 3), 38.7 deg, I 84.4; (2 0 2), 39.8 deg, I 71.5; (0 1 5), 40.4 deg, I 35.7; (0 0 6), 43.2 deg, I 19.9; (3 0 3), 61.5 deg, I 21.6; (0 2 7), 64.6 deg, I 21.9; (2 2 0), 66.8 deg, I 33.3

No. 7
For Ni2Ir3, DFT lattice parameters and positions (GGA-PBE) gives the theoretical powder X-ray diffraction pattern in this record (CuKα).
Kinematic intensities with the Lorentz-polarization factor, no thermal factor.

Lattice parameters (Å, degrees): 8.880 12.710 4.724 90.00 90.00 90.00
Space group Fdd2 (No. 43)
Symmetry-distinct sites (fractional):
Ni 0.022 0.204 0.000 [16 per cell]
Ir 0.000 0.000 0.049 [8 per cell]
Ir 0.044 0.098 0.540 [16 per cell]

Principal peaks in the range 5 to 70 degrees two-theta, sorted by position:
(2 2 0), 24.5 deg, I 31.6; (1 3 1), 30.1 deg, I 21.2; (4 0 0), 40.6 deg, I 26.3; (0 2 2), 40.8 deg, I 12.5; (1 5 1), 41.6 deg, I 100.0; (3 3 1), 41.9 deg, I 30.8; (4 2 0), 43.2 deg, I 24.7; (2 0 2), 43.4 deg, I 75.3; (2 2 2), 45.8 deg, I 13.7; (3 5 1), 51.2 deg, I 38.1

No. 8
For NiIr5, DFT lattice parameters and positions (GGA-PBE) gives the theoretical powder X-ray diffraction pattern in this record (CuKα).
Kinematic intensities with the Lorentz-polarization factor, no thermal factor.

Lattice parameters (Å, degrees): 3.816 8.136 5.431 90.00 90.00 90.00
Space group Pmmn (No. 59, origin choice 2)
Symmetry-distinct sites (fractional):
Ni 0.250 0.250 0.128 [2 per cell]
Ir 0.250 0.250 0.622 [2 per cell]
Ir 0.250 0.581 0.626 [4 per cell]
Ir 0.250 0.585 0.121 [4 per cell]

Principal peaks in the range 5 to 70 degrees two-theta, sorted by position:
(0 1 1), 19.7 deg, I 2.2; (0 2 0), 21.8 deg, I 1.8; (1 1 0), 25.8 deg, I 2.5; (1 1 1), 30.7 deg, I 2.1; (1 3 0), 40.8 deg, I 100.0; (0 3 2), 47.4 deg, I 32.7; (2 0 0), 47.7 deg, I 16.5; (0 0 4), 69.2 deg, I 5.3; (0 6 0), 69.3 deg, I 5.3; (2 3 2), 69.5 deg, I 21.1